Entry 1:
Structure and simulated powder X-ray diffraction pattern of MgMnPO5 (a cell relaxed with PBE+U; Cu Kα (λ = 1.5418 Å)).

Principal peaks in the range 2θ = 15–90°, most intense first:
28.08 deg, 3.178 Å, intensity 100.0, (1 0 -2)
28.37 deg, 3.146 Å, intensity 72.6, (1 1 0)
35.17 deg, 2.552 Å, intensity 48.4, (2 -1 0)
35.63 deg, 2.520 Å, intensity 26.5, (1 -1 2)
52.43 deg, 1.745 Å, intensity 23.3, (2 -2 2)
17.63 deg, 5.031 Å, intensity 21.7, (0 1 0)
25.99 deg, 3.429 Å, intensity 20.1, (1 0 1)
54.74 deg, 1.677 Å, intensity 19.0, (3 0 0)
53.37 deg, 1.717 Å, intensity 18.5, (1 1 -4)
44.53 deg, 2.035 Å, intensity 16.6, (1 2 0)

Crystal structure
a = 5.420 Å, b = 5.423 Å, c = 6.907 Å
α = 105.00°, β = 104.89°, γ = 101.15°
Space group P1 (No. 1)
Asymmetric unit:
Mg  0.000  0.000  0.000 x1
Mg  0.361  0.629  0.495 x1
Mn  0.604  0.255  0.694 x1
Mn  0.623  0.239  0.194 x1
P  0.235  0.583  0.936 x1
P  0.950  0.876  0.435 x1
O  0.239  0.966  0.594 x1
O  0.267  0.377  0.054 x1
O  0.338  0.873  0.095 x1
O  0.378  0.541  0.768 x1
O  0.519  0.330  0.437 x1
O  0.693  0.146  0.935 x1
O  0.742  0.904  0.551 x1
O  0.922  0.035  0.279 x1
O  0.930  0.580  0.320 x1
O  0.938  0.571  0.833 x1

***

Entry 2:
Structure and simulated powder X-ray diffraction pattern of LiV2P4H2O16 (a cell relaxed with PBE+U; Cu Kα (λ = 1.5418 Å)).

Principal peaks in the range 2θ = 15–90°, most intense first:
25.05 deg, 3.555 Å, intensity 100.0, (1 1 1)
16.80 deg, 5.278 Å, intensity 76.0, (1 -1 1)
25.87 deg, 3.444 Å, intensity 67.4, (1 2 -2)
29.63 deg, 3.015 Å, intensity 55.1, (2 0 -2)
33.96 deg, 2.639 Å, intensity 48.8, (2 2 -2)
29.74 deg, 3.004 Å, intensity 43.6, (2 -2 0)
22.89 deg, 3.885 Å, intensity 30.7, (1 -2 0)
22.77 deg, 3.905 Å, intensity 27.6, (1 0 -2)
27.53 deg, 3.239 Å, intensity 22.0, (1 2 0)
22.60 deg, 3.935 Å, intensity 19.6, (0 2 -2)

Crystal structure
a = 7.345 Å, b = 9.236 Å, c = 9.286 Å
α = 116.39°, β = 97.59°, γ = 97.38°
Space group P1 (No. 1)
Asymmetric unit:
Li  0.000  0.000  0.000 x1
Li  0.298  0.468  0.730 x1
V  0.151  0.237  0.867 x1
V  0.153  0.737  0.366 x1
V  0.645  0.236  0.366 x1
V  0.647  0.737  0.866 x1
P  0.379  0.495  0.473 x1
P  0.383  0.999  0.981 x1
P  0.420  0.623  0.107 x1
P  0.424  0.125  0.608 x1
P  0.881  0.348  0.131 x1
P  0.885  0.850  0.628 x1
P  0.908  0.471  0.752 x1
P  0.915  0.975  0.260 x1
H  0.136  0.716  0.854 x1
H  0.141  0.221  0.358 x1
H  0.658  0.747  0.383 x1
H  0.660  0.249  0.886 x1
O  0.001  0.031  0.715 x1
O  0.006  0.229  0.037 x1
O  0.016  0.740  0.532 x1
O  0.093  0.587  0.769 x1
O  0.095  0.089  0.270 x1
O  0.203  0.381  0.462 x1
O  0.204  0.883  0.962 x1
O  0.282  0.732  0.201 x1
O  0.292  0.241  0.696 x1
O  0.299  0.442  0.019 x1
O  0.302  0.945  0.514 x1
O  0.327  0.630  0.429 x1
O  0.336  0.132  0.935 x1
O  0.457  0.657  0.963 x1
O  0.476  0.170  0.471 x1
O  0.487  0.579  0.655 x1
O  0.501  0.083  0.161 x1
O  0.509  0.399  0.362 x1
O  0.514  0.900  0.872 x1
O  0.597  0.647  0.223 x1
O  0.598  0.141  0.722 x1
O  0.702  0.830  0.516 x1
O  0.703  0.336  0.016 x1
O  0.784  0.574  0.864 x1
O  0.789  0.074  0.372 x1
O  0.797  0.390  0.572 x1
O  0.811  0.895  0.078 x1
O  0.823  0.304  0.264 x1
O  0.841  0.815  0.770 x1
O  0.964  0.342  0.799 x1
O  0.971  0.842  0.304 x1
O  0.999  0.528  0.218 x1